(1)
HoSc2Cu9: theoretical X-ray powder pattern (copper Kα), based on DFT lattice parameters and positions (GGA-PBE).

Atomic structure:
```
HoSc2Cu9
1.0
2.531 1.461 8.118
-2.531 1.461 8.118
0.000 -2.923 8.118
Ho Sc Cu
1 2 9
Cartesian
0.000 0.000 0.000
0.000 0.000 3.504
0.000 0.000 20.849
-1.274 -0.736 10.173
0.000 0.000 8.107
0.000 -1.471 14.180
-1.274 0.736 14.180
0.000 0.000 12.176
1.274 -0.736 10.173
0.000 1.471 10.173
0.000 0.000 16.246
1.274 0.736 14.180
```

The 10 most intense peaks (5° ≤ 2θ ≤ 70°), low angle first:
2θ/deg, Rel. int.
10.90, 25
32.87, 16
35.47, 26
35.92, 19
41.36, 31
41.87, 19
42.07, 100
44.65, 26
45.37, 16
68.21, 22

---

(2)
NaYTiNbO6F: theoretical X-ray powder pattern (copper Kα), based on DFT lattice parameters and positions (GGA-PBE).

Atomic structure:
```
NaYTiNbO6F
1.0
7.343 0.000 0.000
0.000 7.343 0.000
0.000 0.000 10.368
Na Y Ti Nb O F
4 4 4 4 24 4
Cartesian
0.000 1.696 0.000
0.000 5.646 5.184
1.696 0.000 7.776
5.646 0.000 2.592
1.565 3.671 7.776
3.671 1.565 0.000
3.671 5.778 5.184
5.778 3.671 2.592
1.959 3.671 2.592
3.671 1.959 5.184
3.671 5.383 0.000
5.383 3.671 7.776
0.000 1.925 5.184
0.000 5.418 0.000
1.925 0.000 2.592
5.418 0.000 7.776
0.373 3.345 3.807
0.373 3.998 1.377
0.486 0.486 3.888
0.486 6.857 1.296
1.840 2.050 5.974
1.840 5.293 9.578
2.050 1.840 1.802
2.050 5.503 3.382
3.312 3.312 3.888
3.312 4.031 1.296
3.345 0.373 3.969
3.345 6.969 1.215
3.998 0.373 6.399
3.998 6.969 9.153
4.031 3.312 6.480
4.031 4.031 9.072
5.293 1.840 8.566
5.293 5.503 6.986
5.503 2.050 4.394
5.503 5.293 0.790
6.857 0.486 6.480
6.857 6.857 9.072
6.969 3.345 6.561
6.969 3.998 8.991
1.860 1.860 9.072
1.860 5.483 6.480
5.483 1.860 1.296
5.483 5.483 3.888
```

The 10 most intense peaks (5° ≤ 2θ ≤ 70°), low angle first:
2θ/deg, Rel. int.
19.12, 32
28.52, 7
29.82, 100
31.09, 7
34.57, 19
39.78, 7
47.17, 9
49.69, 50
59.04, 35
61.94, 7

---

(3)
CuRh: theoretical X-ray powder pattern (copper Kα), based on DFT lattice parameters and positions (GGA-PBE).

Atomic structure:
```
CuRh
1.0
9.530 0.000 0.000
0.000 2.731 0.000
-1.944 0.000 4.088
Cu Rh
4 4
Cartesian
0.336 0.000 1.857
2.485 1.366 2.231
5.101 1.366 1.857
7.250 0.000 2.231
-0.658 1.366 3.863
3.479 0.000 0.225
4.107 0.000 3.863
8.244 1.366 0.225
```

The 10 most intense peaks (5° ≤ 2θ ≤ 70°), low angle first:
2θ/deg, Rel. int.
21.74, 15
38.51, 35
39.88, 30
41.99, 70
43.58, 100
44.32, 38
44.59, 94
46.30, 33
57.45, 11
68.74, 15

---

(4)
LiTb2GePt6: theoretical X-ray powder pattern (copper Kα), based on DFT lattice parameters and positions (GGA-PBE).

Atomic structure:
```
LiTb2GePt6
1.0
4.868 -2.812 0.000
4.868 2.812 0.000
-3.238 0.000 8.094
Li Tb Ge Pt
1 2 1 6
Cartesian
0.000 0.000 0.000
0.004 0.000 4.890
6.494 0.000 3.204
3.249 0.000 4.047
2.412 1.453 5.850
1.570 0.000 2.246
4.086 1.453 2.244
2.412 -1.453 5.850
4.929 0.000 5.849
4.086 -1.453 2.244
```

The 10 most intense peaks (5° ≤ 2θ ≤ 70°), low angle first:
2θ/deg, Rel. int.
10.93, 97
21.96, 64
34.83, 17
37.68, 100
39.01, 28
39.90, 84
41.53, 39
45.52, 21
47.90, 22
66.52, 26

---

(5)
ZrTaSe2Br: theoretical X-ray powder pattern (copper Kα), based on DFT lattice parameters and positions (GGA-PBE).

Atomic structure:
```
ZrTaSe2Br
1.0
5.039 0.000 0.000
0.000 5.039 0.000
0.000 0.000 5.018
Zr Ta Se Br
1 1 2 1
Cartesian
0.000 0.000 0.000
2.520 2.520 2.509
0.000 2.520 2.509
2.520 0.000 2.509
2.520 2.520 0.000
```

The 10 most intense peaks (5° ≤ 2θ ≤ 70°), low angle first:
2θ/deg, Rel. int.
17.62, 85
25.02, 100
30.77, 27
35.63, 96
35.79, 48
40.02, 29
44.08, 45
51.28, 34
51.39, 67
64.10, 34

---

(6)
CuSeF: theoretical X-ray powder pattern (copper Kα), based on DFT lattice parameters and positions (GGA-PBE).

Atomic structure:
```
CuSeF
1.0
3.217 0.000 0.000
-1.599 5.187 0.000
-1.600 -2.047 6.125
Cu Se F
2 2 2
Cartesian
0.008 1.346 0.745
0.010 1.794 5.380
-1.599 2.526 3.754
1.616 0.614 2.371
0.003 3.595 0.548
0.014 -0.455 5.577
```

The 10 most intense peaks (5° ≤ 2θ ≤ 70°), low angle first:
2θ/deg, Rel. int.
18.03, 18
19.23, 57
26.59, 46
34.88, 100
36.53, 45
42.20, 16
47.90, 29
49.88, 18
50.00, 17
53.03, 15

---

(7)
Ba3Si6N4O9: theoretical X-ray powder pattern (copper Kα), based on DFT lattice parameters and positions (GGA-PBE).

Atomic structure:
```
Ba3Si6N4O9
1.0
7.323 0.000 0.000
-3.662 6.342 0.000
0.000 0.000 6.898
Ba Si N O
3 6 4 9
Cartesian
0.000 0.000 0.000
0.000 4.228 1.272
3.662 2.114 0.839
-1.736 3.957 4.784
1.709 0.254 3.332
1.102 2.860 4.784
0.634 5.867 4.784
3.027 4.736 3.332
6.249 1.353 3.332
0.000 0.000 3.668
-0.601 2.699 4.341
-1.023 5.513 4.341
1.625 4.472 4.341
-2.158 3.961 6.341
2.087 0.069 1.770
1.310 2.493 6.341
1.933 1.848 3.753
0.848 6.230 6.341
4.756 0.750 3.753
2.678 4.501 1.770
4.296 3.744 3.753
6.220 1.773 1.770
```

The 10 most intense peaks (5° ≤ 2θ ≤ 70°), low angle first:
2θ/deg, Rel. int.
24.31, 37
27.58, 100
29.48, 44
31.04, 21
35.76, 18
42.77, 23
44.84, 22
46.11, 15
51.65, 15
55.37, 17